Cs5Te2H4: calculated powder diffractogram (copper Kα), based on a DFT-relaxed cell (GGA-PBE, Alexandria).
Neutral-atom scattering factors, no anomalous dispersion.

Crystal structure
a b c (Å): 13.563 8.124 8.358
angles (deg): 90.00 122.10 90.00
Space group C2/m (No. 12)
Symmetry-distinct sites (fractional):
Cs: 0.000 0.000 0.000 (multiplicity 2)
Cs: 0.210 0.245 0.686 (multiplicity 8)
Te: 0.024 0.500 0.819 (multiplicity 4)
H: 0.015 0.000 0.471 (multiplicity 4)
H: 0.164 0.000 0.398 (multiplicity 4)

Main lines, most intense first (2θ from 10° to 80°):
26.88°, intensity 100, hkl 2 2 0; 24.60°, intensity 65, hkl 2 0 1; 30.77°, intensity 34, hkl 2 2 -2; 25.28°, intensity 32, hkl 0 2 1; 25.94°, intensity 28, hkl 3 1 -2; 27.71°, intensity 26, hkl 4 0 -2

---

Pu2CuAs3Rh4: calculated powder diffractogram (copper Kα), based on a DFT-relaxed cell (GGA-PBE, Alexandria).
Neutral-atom scattering factors, no anomalous dispersion.

Crystal structure
a b c (Å): 4.124 4.124 10.457
angles (deg): 90.00 90.00 90.00
Space group P-4m2 (No. 115)
Symmetry-distinct sites (fractional):
Pu: 0.000 0.500 0.237 (multiplicity 2)
Cu: 0.500 0.500 0.000 (multiplicity 1)
As: 0.000 0.000 0.000 (multiplicity 1)
As: 0.000 0.500 0.635 (multiplicity 2)
Rh: 0.000 0.000 0.500 (multiplicity 1)
Rh: 0.000 0.500 0.863 (multiplicity 2)
Rh: 0.500 0.500 0.500 (multiplicity 1)

Main lines, most intense first (2θ from 10° to 80°):
35.24°, intensity 100, hkl 1 1 2; 33.67°, intensity 64, hkl 1 0 3; 43.91°, intensity 51, hkl 2 0 0; 48.83°, intensity 31, hkl 1 0 5; 56.44°, intensity 30, hkl 2 1 3; 75.06°, intensity 24, hkl 3 1 2

---

Y8ZnIr2: calculated powder diffractogram (copper Kα), based on a DFT-relaxed cell (GGA-PBE, Alexandria).
Neutral-atom scattering factors, no anomalous dispersion.

Crystal structure
a b c (Å): 8.673 13.100 5.534
angles (deg): 90.00 103.81 90.00
Space group Cm (No. 8)
Symmetry-distinct sites (fractional):
Y: 0.000 0.000 0.000 (multiplicity 2)
Y: 0.076 0.369 0.783 (multiplicity 4)
Y: 0.177 0.131 0.609 (multiplicity 4)
Y: 0.253 0.500 0.391 (multiplicity 2)
Y: 0.376 0.242 0.195 (multiplicity 4)
Zn: 0.378 0.000 0.187 (multiplicity 2)
Ir: 0.376 0.310 0.696 (multiplicity 4)

Main lines, most intense first (2θ from 10° to 80°):
32.99°, intensity 100, hkl 3 1 -1; 29.88°, intensity 94, hkl 1 3 1; 38.11°, intensity 80, hkl 3 3 0; 32.00°, intensity 77, hkl 0 4 1; 38.61°, intensity 76, hkl 1 5 -1; 16.49°, intensity 75, hkl 0 0 1

---

PrB12: calculated powder diffractogram (copper Kα), based on a DFT-relaxed cell (GGA-PBE, Alexandria).
Neutral-atom scattering factors, no anomalous dispersion.

Crystal structure
a b c (Å): 7.598 7.598 7.598
angles (deg): 90.00 90.00 90.00
Space group Fm-3m (No. 225)
Symmetry-distinct sites (fractional):
Pr: 0.000 0.000 0.000 (multiplicity 4)
B: 0.000 0.168 0.332 (multiplicity 48)

Main lines, most intense first (2θ from 10° to 80°):
39.33°, intensity 100, hkl 3 1 1; 20.24°, intensity 86, hkl 1 1 1; 23.42°, intensity 71, hkl 2 0 0; 33.35°, intensity 39, hkl 2 2 0; 52.49°, intensity 32, hkl 3 3 1; 73.77°, intensity 30, hkl 5 3 1